Theoretical X-ray diffraction stick pattern
Compound: Nb4Co2PbSe12
Radiation: copper Kα
Structure: a GGA-PBE-relaxed structure

Structure:
```
19
Lattice="6.8028 -1.7126 0.0000 6.8028 1.7126 0.0000 -4.8875 0.0000 19.4697" Properties=species:S:1:pos:R:3 pbc="T T T"
Nb 0.9970 0.0000 3.2759
Nb 1.3084 0.0000 7.9856
Nb 7.4096 0.0000 11.4841
Nb 7.7210 0.0000 16.1938
Co 0.1971 0.0000 13.7497
Co 8.5209 0.0000 5.7200
Pb 6.8028 0.0000 0.0000
Se 0.0244 0.0000 5.7754
Se -1.2646 0.0000 11.9016
Se -0.4571 0.0000 17.6340
Se 3.0576 0.0000 4.7597
Se 2.3519 0.0000 10.5082
Se 5.8885 0.0000 2.8237
Se 2.8295 0.0000 16.6460
Se 6.3661 0.0000 8.9615
Se 5.6604 0.0000 14.7101
Se 9.1751 0.0000 1.8357
Se 9.9826 0.0000 7.5681
Se 8.6936 0.0000 13.6944
```

Principal peaks in the range 10 to 80 degrees two-theta, low angle first:
Position (°2θ), I_rel
13.1, 100
14.3, 36
27.6, 26
31.7, 49
33.6, 46
35.5, 28
37.6, 26
40.1, 46
43.3, 28
53.5, 23